Computed powder diffraction line list of Ba3Li2V2Cl4O7 for Cu Kα, 1.54184 Å, from a GGA+U-relaxed structure.

Lattice parameters (Å, degrees): 16.337 5.883 14.598 90.00 90.49 90.00
Space group C2/m (No. 12)
Inequivalent atoms, fractional coordinates:
Ba: 0.000 0.000 0.000 [2 per cell]
Ba: 0.000 0.000 0.500 [2 per cell]
Ba: 0.135 0.500 0.281 [4 per cell]
Ba: 0.136 0.500 0.726 [4 per cell]
Li: 0.198 0.000 0.883 [4 per cell]
Li: 0.250 0.250 0.500 [4 per cell]
V: 0.004 0.000 0.748 [4 per cell]
V: 0.189 0.000 0.127 [4 per cell]
Cl: 0.003 0.500 0.116 [4 per cell]
Cl: 0.118 0.500 0.501 [4 per cell]
Cl: 0.185 0.000 0.380 [4 per cell]
Cl: 0.189 0.000 0.620 [4 per cell]
O: 0.003 0.233 0.677 [8 per cell]
O: 0.087 0.000 0.179 [4 per cell]
O: 0.088 0.000 0.818 [4 per cell]
O: 0.170 0.000 0.013 [4 per cell]
O: 0.242 0.236 0.166 [8 per cell]

The 10 most intense peaks (10° ≤ 2θ ≤ 90°), low angle first:
- 12.13°, I = 49.0
- 20.12°, I = 100.0
- 22.24°, I = 56.6
- 25.08°, I = 33.2
- 30.39°, I = 84.3
- 31.32°, I = 62.5
- 32.90°, I = 27.0
- 33.14°, I = 86.6
- 33.35°, I = 88.6
- 39.79°, I = 27.2